Record 1
This entry pairs a crystal structure of Sm5YMg4 with its simulated X-ray diffraction stick pattern. Radiation: CuKα. Structure: the GGA-PBE geometry in Alexandria.

Peak list (12 most intense, 2θ from 15° to 90°, by angle)
d [Å]  Rel. int.  index
4.077  21  0 0 5
3.804  44  1 0 0
2.781  100  1 0 5
2.690  53  1 1 0
2.245  18  1 1 5
1.902  19  2 0 0
1.723  8  2 0 5
1.701  10  2 1 0
1.624  13  1 1 10
1.570  35  2 1 5
1.211  7  3 0 5
1.203  10  3 1 0

Structural model:
Unit cell a=3.8036 b=3.8036 c=20.3830 alpha=90.00 beta=90.00 gamma=90.00
Space group P4/mmm (No. 123)
Symmetry-distinct sites (fractional):
1 Sm 0.0000 0.0000 0.0000 x1
2 Sm 0.0000 0.0000 0.1904 x2
3 Sm 0.0000 0.0000 0.3820 x2
4 Y 0.5000 0.5000 0.5000 x1
5 Mg 0.5000 0.5000 0.0957 x2
6 Mg 0.5000 0.5000 0.2860 x2

***

Record 2
This entry pairs a crystal structure of TiSnPd5 with its simulated X-ray diffraction stick pattern. Radiation: CuKα. Structure: the GGA-PBE geometry in Alexandria.

Peak list (12 most intense, 2θ from 15° to 90°, by angle)
d [Å]  Rel. int.  index
2.681  28  1 1 1
2.371  13  0 0 3
2.245  100  1 1 2
2.046  42  2 0 0
1.778  8  0 0 4
1.549  14  2 0 3
1.447  14  2 2 0
1.342  13  2 0 4
1.277  12  1 1 5
1.235  6  2 2 3
1.216  27  3 1 2
1.122  8  2 2 4

Structural model:
Unit cell a=4.0929 b=4.0929 c=7.1136 alpha=90.00 beta=90.00 gamma=90.00
Space group P4/mmm (No. 123)
Symmetry-distinct sites (fractional):
1 Ti 0.0000 0.0000 0.0000 x1
2 Sn 0.5000 0.5000 0.5000 x1
3 Pd 0.0000 0.0000 0.5000 x1
4 Pd 0.0000 0.5000 0.2160 x4

***

Record 3
This entry pairs a crystal structure of TmSn3Ru with its simulated X-ray diffraction stick pattern. Radiation: CuKα. Structure: the GGA-PBE geometry in Alexandria.

Peak list (12 most intense, 2θ from 15° to 90°, by angle)
d [Å]  Rel. int.  index
3.592  42  1 1 0
3.522  24  1 0 4
3.039  37  1 1 3
2.923  100  2 0 2
2.848  56  0 0 6
2.515  83  0 2 4
2.330  25  2 1 1
2.268  64  1 2 2
2.232  58  1 1 6
2.074  24  3 0 0
1.796  27  2 2 0
1.677  40  3 0 6

Structural model:
Unit cell a=7.1850 b=7.1850 c=17.0890 alpha=90.00 beta=90.00 gamma=120.00
Space group R3c (No. 161, hexagonal axes)
Symmetry-distinct sites (fractional):
1 Tm 0.0000 0.0000 0.0000 x6
2 Sn 0.1432 0.3950 0.3731 x18
3 Ru 0.0000 0.0000 0.3354 x6

***

Record 4
This entry pairs a crystal structure of Ba2Li5Ag4 with its simulated X-ray diffraction stick pattern. Radiation: CuKα. Structure: the GGA-PBE geometry in Alexandria.

Peak list (12 most intense, 2θ from 15° to 90°, by angle)
d [Å]  Rel. int.  index
4.084  92  0 0 4
3.158  56  2 0 0
3.016  79  1 3 1
2.673  100  1 3 3
2.498  57  2 0 4
2.237  12  1 3 5
1.858  39  1 3 7
1.795  17  3 3 1
1.714  37  3 3 3
1.436  17  2 6 4
1.428  16  3 3 7
1.337  16  1 3 11

Structural model:
Unit cell a=6.3155 b=10.5321 c=16.3363 alpha=90.00 beta=90.00 gamma=90.00
Space group Fmmm (No. 69)
Symmetry-distinct sites (fractional):
1 Ba 0.0000 0.0000 0.1452 x8
2 Li 0.0000 0.0000 0.5000 x4
3 Li 0.2500 0.2500 0.0000 x8
4 Li 0.2500 0.2500 0.2500 x8
5 Ag 0.0000 0.1482 0.3677 x16

***

Record 5
This entry pairs a crystal structure of Pr4Dy2Y with its simulated X-ray diffraction stick pattern. Radiation: CuKα. Structure: the GGA-PBE geometry in Alexandria.

Peak list (12 most intense, 2θ from 15° to 90°, by angle)
d [Å]  Rel. int.  index
3.161  12  0 2 2
2.990  100  1 7 1
2.940  35  4 2 0
2.874  63  2 0 2
2.813  36  3 5 1
2.799  27  2 2 2
2.452  26  3 7 1
2.061  11  5 5 1
1.828  20  1 7 3
1.682  20  2 14 0
1.543  14  0 14 2
1.503  10  4 12 2

Structural model:
Unit cell a=12.1120 b=24.5107 c=6.5315 alpha=90.00 beta=90.00 gamma=90.00
Space group Fdd2 (No. 43)
Symmetry-distinct sites (fractional):
1 Pr 0.0515 0.0706 0.0000 x16
2 Pr 0.0677 0.1439 0.5289 x16
3 Dy 0.0241 0.2158 0.0537 x16
4 Y 0.0000 0.0000 0.4959 x8

***

Record 6
This entry pairs a crystal structure of RbLiCu2H3S2O10 with its simulated X-ray diffraction stick pattern. Radiation: CuKα. Structure: the GGA-PBE geometry in Alexandria.

Peak list (12 most intense, 2θ from 15° to 90°, by angle)
d [Å]  Rel. int.  index
5.174  52  2 0 -1
4.774  55  1 1 -1
4.014  46  2 0 -2
3.419  92  1 1 -2
3.084  100  2 0 1
2.969  73  3 1 -1
2.819  43  2 0 -3
2.742  95  0 2 1
2.387  66  2 2 -2
1.848  28  4 2 -3
1.789  25  0 0 4
1.484  45  0 4 0

Structural model:
Unit cell a=10.3955 b=5.9370 c=8.4583 alpha=90.00 beta=122.22 gamma=90.00
Space group Cm (No. 8)
Symmetry-distinct sites (fractional):
1 Rb 0.0000 0.0000 0.0000 x2
2 Li 0.1342 0.0000 0.7473 x2
3 Cu 0.2556 0.2491 0.4688 x4
4 H 0.2473 0.5000 0.2035 x2
5 H 0.3204 0.0000 0.7134 x2
6 H 0.4157 0.5000 0.3729 x2
7 S 0.1009 0.5000 0.7707 x2
8 S 0.4229 0.0000 0.2036 x2
9 O 0.0024 0.2894 0.7003 x4
10 O 0.0227 0.2939 0.2738 x4
11 O 0.1840 0.5000 0.9773 x2
12 O 0.2051 0.5000 0.7027 x2
13 O 0.2226 0.0000 0.5936 x2
14 O 0.3107 0.5000 0.3444 x2
15 O 0.3181 0.0000 0.2722 x2
16 O 0.3345 0.0000 0.9951 x2